[1]
The following is a computed powder diffraction line list of Dy3In. It was derived from a PBE-relaxed structure, using Cu Kα.

The 6 most intense peaks (10 to 90 degrees two-theta), in order of falling intensity:
| Position (°2θ) | I (rel.) |
| --- | --- |
| 32.01 | 100 |
| 37.13 | 50 |
| 63.74 | 41 |
| 53.52 | 35 |
| 87.88 | 18 |
| 66.93 | 12 |

Crystal structure
```
Dy3In
1.0
4.8427 0.0000 0.0000
0.0000 4.8427 0.0000
0.0000 0.0000 4.8427
Dy In
3 1
Cartesian
0.0000 0.0000 2.4213 Dy
0.0000 2.4213 0.0000 Dy
2.4213 0.0000 0.0000 Dy
2.4213 2.4213 2.4213 In
```


[2]
The following is a computed powder diffraction line list of CsK2IrF6. It was derived from a PBE-relaxed structure, using Cu Kα.

The 6 most intense peaks (10 to 90 degrees two-theta), in order of falling intensity:
| Position (°2θ) | I (rel.) |
| --- | --- |
| 26.37 | 100 |
| 18.56 | 66 |
| 46.54 | 39 |
| 37.64 | 36 |
| 42.28 | 29 |
| 74.25 | 22 |

Crystal structure
```
CsK2IrF6
1.0
0.0000 4.7794 4.7794
4.7794 0.0000 4.7794
4.7794 4.7794 0.0000
Cs K Ir F
1 2 1 6
Cartesian
0.0000 0.0000 0.0000 Cs
2.3897 2.3897 2.3897 K
7.1691 7.1691 7.1691 K
4.7794 4.7794 4.7794 Ir
4.7794 4.7794 2.7455 F
4.7794 2.7455 4.7794 F
6.8133 4.7794 4.7794 F
2.7455 4.7794 4.7794 F
4.7794 6.8133 4.7794 F
4.7794 4.7794 6.8133 F
```


[3]
The following is a computed powder diffraction line list of NaSrMg14. It was derived from a PBE-relaxed structure, using Cu Kα.

The 6 most intense peaks (10 to 90 degrees two-theta), in order of falling intensity:
| Position (°2θ) | I (rel.) |
| --- | --- |
| 35.86 | 100 |
| 35.23 | 54 |
| 33.50 | 39 |
| 31.57 | 26 |
| 66.25 | 20 |
| 61.43 | 19 |

Crystal structure
```
NaSrMg14
1.0
10.7001 0.0000 0.0000
0.0000 3.2485 5.7948
0.0000 -3.2485 5.7948
Na Sr Mg
1 1 14
Cartesian
0.0000 0.0000 0.0000 Na
0.0000 0.0000 5.8188 Sr
0.0000 -1.5943 8.7266 Mg
0.0000 1.5943 8.7266 Mg
2.6785 0.0000 1.9609 Mg
2.7739 0.0000 7.7824 Mg
2.8378 -1.6392 4.7975 Mg
2.8378 1.6392 4.7975 Mg
5.3500 -1.6204 2.9068 Mg
5.3500 0.0000 0.0216 Mg
5.3500 1.6204 2.9068 Mg
5.3500 0.0000 5.8152 Mg
7.8623 -1.6392 4.7975 Mg
7.8623 1.6392 4.7975 Mg
7.9262 0.0000 7.7824 Mg
8.0216 0.0000 1.9609 Mg
```


[4]
The following is a computed powder diffraction line list of Tl5Re6S8Cl7. It was derived from a PBE-relaxed structure, using Cu Kα.

The 6 most intense peaks (10 to 90 degrees two-theta), in order of falling intensity:
| Position (°2θ) | I (rel.) |
| --- | --- |
| 11.18 | 100 |
| 21.14 | 74 |
| 12.62 | 53 |
| 24.06 | 45 |
| 10.14 | 45 |
| 45.92 | 38 |

Crystal structure
```
Tl5Re6S8Cl7
1.0
4.7951 2.7685 17.4421
-4.7951 2.7685 17.4421
0.0000 -5.5370 17.4421
Tl Re S Cl
10 12 16 14
Cartesian
0.0000 0.0000 0.0000 Tl
-3.3592 0.2730 22.2507 Tl
0.0000 0.0000 9.7416 Tl
-1.4359 -2.4954 30.9718 Tl
1.4431 -3.0457 22.2507 Tl
0.0000 0.0000 26.1631 Tl
-1.4431 2.4913 30.9718 Tl
0.0000 0.0000 35.9047 Tl
1.9161 2.7726 22.2507 Tl
2.8791 0.0042 30.9718 Tl
-4.2769 -1.3466 27.7047 Re
-1.4904 0.2593 16.8395 Re
-0.9722 -1.1598 18.9837 Re
0.5206 -1.4204 16.8395 Re
-0.5183 1.4219 18.9837 Re
0.9698 1.1611 16.8396 Re
1.4905 -0.2621 18.9837 Re
-0.5206 -1.4204 43.0026 Re
3.3046 -3.0306 27.7047 Re
-0.9698 1.1611 43.0026 Re
0.9722 4.3772 27.7047 Re
1.4904 0.2593 43.0027 Re
-1.8027 -2.1470 16.9140 S
-3.8371 -0.1338 25.6351 S
-2.7585 0.4942 18.9106 S
-2.0366 -2.2743 27.6316 S
0.0000 0.0000 14.9376 S
0.9512 -2.6361 18.9106 S
-0.9580 2.6347 16.9140 S
0.0000 0.0000 20.8880 S
2.0344 -3.2562 25.6351 S
2.7607 -0.4877 16.9140 S
-0.9513 2.9009 27.6316 S
1.8073 2.1418 18.9106 S
0.0000 0.0000 41.1007 S
2.9879 -0.6266 27.6316 S
1.8027 3.3899 25.6351 S
0.0000 0.0000 47.0511 S
0.0000 0.0000 4.1201 Cl
-1.3294 -2.1237 24.1407 Cl
-3.6696 0.5687 29.1306 Cl
-3.6206 -0.5553 32.8617 Cl
-1.1745 2.2132 24.1407 Cl
-1.1256 -2.1997 37.8517 Cl
1.3423 -3.4623 29.1306 Cl
0.0000 0.0000 30.2832 Cl
2.2912 -2.8579 32.8617 Cl
-1.3422 2.0746 37.8517 Cl
2.5039 -0.0894 24.1407 Cl
1.3294 3.4132 32.8617 Cl
2.3273 2.8936 29.1306 Cl
2.4678 0.1251 37.8516 Cl
```


[5]
The following is a computed powder diffraction line list of K2SbAuF6. It was derived from a PBE-relaxed structure, using Cu Kα.

The 6 most intense peaks (10 to 90 degrees two-theta), in order of falling intensity:
| Position (°2θ) | I (rel.) |
| --- | --- |
| 27.08 | 100 |
| 19.06 | 67 |
| 47.84 | 42 |
| 38.67 | 39 |
| 43.45 | 33 |
| 55.84 | 24 |

Crystal structure
```
K2SbAuF6
1.0
0.0000 4.6571 4.6571
4.6571 0.0000 4.6571
4.6571 4.6571 0.0000
K Sb Au F
2 1 1 6
Cartesian
2.3286 2.3286 2.3286 K
6.9857 6.9857 6.9857 K
0.0000 0.0000 0.0000 Sb
4.6571 4.6571 4.6571 Au
4.6571 4.6571 2.1751 F
4.6571 2.1751 4.6571 F
7.1392 4.6571 4.6571 F
2.1751 4.6571 4.6571 F
4.6571 7.1392 4.6571 F
4.6571 4.6571 7.1392 F
```